1.
Diffraction record for PrZnNi2O6. The powder XRD pattern is calculated, not measured: it uses a cell relaxed with PBE+U and Cu Kα X-rays.
Lines closer than 0.1° are merged.

Top 6 peaks for 10 to 80 degrees two-theta, in order of rising 2θ:
| Position (°2θ) | I (rel.) |
| --- | --- |
| 33.0 | 22 |
| 33.6 | 100 |
| 34.4 | 21 |
| 48.0 | 14 |
| 48.4 | 24 |
| 61.0 | 21 |

```
PrZnNi2O6
1.0
7.5848 0.0000 0.0000
0.0000 5.4227 0.0000
0.0000 0.0000 5.2210
Pr Zn Ni O
2 2 4 12
Direct
0.0000 0.2066 0.0000 Pr
0.5000 0.7934 0.5000 Pr
0.0000 0.6987 0.4622 Zn
0.5000 0.3013 0.9622 Zn
0.2484 0.7479 0.9871 Ni
0.2516 0.2521 0.4871 Ni
0.7484 0.2521 0.4871 Ni
0.7516 0.7479 0.9871 Ni
0.0000 0.3008 0.5634 O
0.0000 0.7692 0.8515 O
0.1894 0.4894 0.2245 O
0.1924 0.9488 0.2949 O
0.3076 0.0512 0.7949 O
0.3106 0.5106 0.7245 O
0.5000 0.2308 0.3515 O
0.5000 0.6992 0.0634 O
0.6894 0.5106 0.7245 O
0.6924 0.0512 0.7949 O
0.8076 0.9488 0.2949 O
0.8106 0.4894 0.2245 O
```

---

2.
Diffraction record for NiPt12O16. The powder XRD pattern is calculated, not measured: it uses a cell relaxed with PBE+U and Cu Kα X-rays.
Lines closer than 0.1° are merged.

Top 6 peaks for 10 to 80 degrees two-theta, in order of rising 2θ:
| Position (°2θ) | I (rel.) |
| --- | --- |
| 22.2 | 33 |
| 35.4 | 100 |
| 38.9 | 23 |
| 56.1 | 23 |
| 58.6 | 24 |
| 77.0 | 22 |

```
NiPt12O16
1.0
0.0000 5.6754 5.6754
5.6754 0.0000 5.6754
5.6754 5.6754 0.0000
Ni Pt O
1 12 16
Direct
0.0000 0.0000 0.0000 Ni
0.1270 0.3758 0.6242 Pt
0.1270 0.6242 0.8730 Pt
0.1270 0.8730 0.3758 Pt
0.3758 0.1270 0.8730 Pt
0.3758 0.6242 0.1270 Pt
0.3758 0.8730 0.6242 Pt
0.6242 0.1270 0.3758 Pt
0.6242 0.3758 0.8730 Pt
0.6242 0.8730 0.1270 Pt
0.8730 0.1270 0.6242 Pt
0.8730 0.3758 0.1270 Pt
0.8730 0.6242 0.3758 Pt
0.1137 0.1137 0.1137 O
0.1137 0.1137 0.6590 O
0.1137 0.6590 0.1137 O
0.1159 0.6280 0.6280 O
0.3410 0.8863 0.8863 O
0.3720 0.3720 0.3720 O
0.3720 0.3720 0.8841 O
0.3720 0.8841 0.3720 O
0.6280 0.1159 0.6280 O
0.6280 0.6280 0.1159 O
0.6280 0.6280 0.6280 O
0.6590 0.1137 0.1137 O
0.8841 0.3720 0.3720 O
0.8863 0.3410 0.8863 O
0.8863 0.8863 0.3410 O
0.8863 0.8863 0.8863 O
```